# 1
Computed X-ray diffraction stick pattern of Er3PbC for Cu Kα (λ = 1.5418 Å), from the GGA-PBE geometry in the Materials Project.
Kinematic intensities with the Lorentz-polarization factor, no thermal factor.

Structural model:
abc: 5.625 5.625 5.625
angles: 90.00 90.00 90.00
Space group Pm-3m (No. 221)
Symmetry-distinct sites (fractional):
Er  0.000  0.000  0.500 x3
Pb  0.000  0.000  0.000 x1
C  0.500  0.500  0.500 x1

The 12 most intense peaks (10° ≤ 2θ ≤ 80°), in order of falling intensity:
- 15.75°, I = 100.0
- 31.82°, I = 74.9
- 35.69°, I = 56.5
- 45.61°, I = 55.7
- 48.55°, I = 30.2
- 27.46°, I = 26.6
- 75.60°, I = 25.3
- 56.68°, I = 19.6
- 68.81°, I = 17.5
- 59.22°, I = 13.5
- 77.81°, I = 12.5
- 54.07°, I = 11.8

***

# 2
Computed X-ray diffraction stick pattern of ErRh3C for Cu Kα (λ = 1.5418 Å), from the GGA-PBE geometry in the Materials Project.
Kinematic intensities with the Lorentz-polarization factor, no thermal factor.

Structural model:
abc: 4.170 4.170 4.170
angles: 90.00 90.00 90.00
Space group Pm-3m (No. 221)
Symmetry-distinct sites (fractional):
Er  0.000  0.000  0.000 x1
Rh  0.000  0.500  0.500 x3
C  0.500  0.500  0.500 x1

The 11 most intense peaks (10° ≤ 2θ ≤ 80°), in order of falling intensity:
- 37.35°, I = 100.0
- 43.40°, I = 53.2
- 75.64°, I = 37.7
- 63.05°, I = 34.4
- 79.65°, I = 11.7
- 30.31°, I = 5.8
- 21.31°, I = 2.8
- 53.85°, I = 2.3
- 48.84°, I = 1.7
- 71.55°, I = 1.0
- 67.37°, I = 0.9

***

# 3
Computed X-ray diffraction stick pattern of Er7Ru2C11 for Cu Kα (λ = 1.5418 Å), from the GGA-PBE geometry in the Materials Project.
Kinematic intensities with the Lorentz-polarization factor, no thermal factor.

Structural model:
abc: 3.406 16.471 19.732
angles: 90.00 90.00 90.00
Space group Cmcm (No. 63)
Symmetry-distinct sites (fractional):
Er  0.000  0.022  0.127 x8
Er  0.000  0.162  0.519 x8
Er  0.000  0.221  0.155 x8
Er  0.000  0.396  0.250 x4
Ru  0.000  0.420  0.750 x4
Ru  0.000  0.500  0.000 x4
C  0.000  0.000  0.250 x4
C  0.000  0.222  0.750 x4
C  0.000  0.294  0.564 x8
C  0.000  0.303  0.750 x4
C  0.000  0.367  0.124 x8
C  0.000  0.373  0.585 x8
C  0.000  0.425  0.079 x8

The 12 most intense peaks (10° ≤ 2θ ≤ 80°), in order of falling intensity:
- 28.23°, I = 100.0
- 38.02°, I = 69.2
- 32.40°, I = 65.3
- 35.98°, I = 55.0
- 35.23°, I = 54.5
- 33.90°, I = 52.1
- 32.23°, I = 47.2
- 27.12°, I = 45.9
- 41.57°, I = 43.7
- 36.43°, I = 40.6
- 32.94°, I = 39.3
- 25.02°, I = 37.9

***

# 4
Computed X-ray diffraction stick pattern of ErRu3C for Cu Kα (λ = 1.5418 Å), from the GGA-PBE geometry in the Materials Project.
Kinematic intensities with the Lorentz-polarization factor, no thermal factor.

Structural model:
abc: 4.150 4.150 4.150
angles: 90.00 90.00 90.00
Space group Pm-3m (No. 221)
Symmetry-distinct sites (fractional):
Er  0.000  0.000  0.000 x1
Ru  0.000  0.500  0.500 x3
C  0.500  0.500  0.500 x1

The 10 most intense peaks (10° ≤ 2θ ≤ 80°), in order of falling intensity:
- 37.53°, I = 100.0
- 43.61°, I = 53.2
- 76.06°, I = 37.5
- 63.39°, I = 34.3
- 30.46°, I = 6.4
- 21.41°, I = 3.3
- 54.13°, I = 2.5
- 49.08°, I = 1.9
- 71.94°, I = 1.1
- 67.73°, I = 1.0

***

# 5
Computed X-ray diffraction stick pattern of Er5Si3C for Cu Kα (λ = 1.5418 Å), from the GGA-PBE geometry in the Materials Project.
Kinematic intensities with the Lorentz-polarization factor, no thermal factor.

Structural model:
abc: 8.3929 8.3929 6.2847
angles: 90.00 90.00 120.00
Space group P6_3/mcm (No. 193)
Symmetry-distinct sites (fractional):
Er  0.0000  0.2242  0.2500 x6
Er  0.3333  0.6667  0.0000 x4
Si  0.0000  0.4063  0.7500 x6
C  0.0000  0.0000  0.0000 x2

The 12 most intense peaks (10° ≤ 2θ ≤ 80°), in order of falling intensity:
- 35.68°, I = 100.0
- 31.00°, I = 32.8
- 32.59°, I = 31.4
- 58.71°, I = 20.4
- 25.52°, I = 19.5
- 55.13°, I = 19.4
- 52.44°, I = 16.4
- 58.16°, I = 16.1
- 24.49°, I = 14.6
- 21.17°, I = 13.7
- 71.53°, I = 13.6
- 68.80°, I = 13.5

***

# 6
Computed X-ray diffraction stick pattern of Er15Si9C for Cu Kα (λ = 1.5418 Å), from the GGA-PBE geometry in the Materials Project.
Kinematic intensities with the Lorentz-polarization factor, no thermal factor.

Structural model:
abc: 14.5218 14.5218 6.2828
angles: 90.00 90.00 120.00
Space group P6_3mc (No. 186)
Symmetry-distinct sites (fractional):
Er  0.0098  0.3388  0.0000 x12
Er  0.0810  0.1620  0.7431 x6
Er  0.1752  0.5876  0.7121 x6
Er  0.2539  0.5077  0.2654 x6
Si  0.0662  0.5331  0.2606 x6
Si  0.1321  0.2643  0.2661 x6
Si  0.1997  0.3994  0.7275 x6
C  0.3333  0.6667  0.4867 x2

The 12 most intense peaks (10° ≤ 2θ ≤ 80°), in order of falling intensity:
- 35.71°, I = 100.0
- 32.63°, I = 28.3
- 31.02°, I = 27.7
- 25.54°, I = 25.5
- 58.76°, I = 20.9
- 37.15°, I = 18.4
- 24.52°, I = 18.0
- 55.16°, I = 16.5
- 52.48°, I = 14.9
- 58.23°, I = 12.2
- 71.60°, I = 10.9
- 68.85°, I = 10.4

***

# 7
Computed X-ray diffraction stick pattern of Er20Si12C for Cu Kα (λ = 1.5418 Å), from the GGA-PBE geometry in the Materials Project.
Kinematic intensities with the Lorentz-polarization factor, no thermal factor.

Structural model:
abc: 6.296 14.503 8.329
angles: 90.00 90.14 90.00
Space group P2/m (No. 10)
Symmetry-distinct sites (fractional):
Er  0.000  0.163  0.000 x2
Er  0.000  0.331  0.500 x2
Er  0.249  0.378  0.877 x4
Er  0.250  0.500  0.248 x2
Er  0.273  0.118  0.379 x4
Er  0.275  0.000  0.736 x2
Er  0.500  0.168  0.000 x2
Er  0.500  0.335  0.500 x2
Si  0.248  0.303  0.198 x4
Si  0.249  0.500  0.606 x2
Si  0.254  0.199  0.699 x4
Si  0.257  0.000  0.100 x2
C  0.500  0.000  0.500 x1

The 12 most intense peaks (10° ≤ 2θ ≤ 80°), in order of falling intensity:
- 35.73°, I = 100.0
- 30.98°, I = 40.7
- 35.83°, I = 34.0
- 25.58°, I = 31.2
- 24.62°, I = 27.0
- 32.72°, I = 26.8
- 37.35°, I = 19.4
- 52.55°, I = 15.0
- 58.64°, I = 14.0
- 32.84°, I = 14.0
- 55.13°, I = 13.8
- 35.92°, I = 13.1